(1)
This entry pairs a crystal structure of GeTe with its simulated powder X-ray diffraction pattern. Radiation: Cu Kα, 1.54184 Å. Structure: a PBE-relaxed structure.
Intensities are scaled so that the largest is 100.

Top 6 peaks for 2θ = 10–90°, sorted by position:
d 4.375, I 31
d 3.099, I 100
d 2.921, I 21
d 2.565, I 44
d 2.029, I 46
d 1.976, I 29

Unit cell a=4.057 b=4.057 c=9.065 alpha=103.07 beta=103.07 gamma=60.07
Positions (direct):
1 Ge 0.130 0.130 0.392
2 Ge 0.870 0.870 0.608
3 Te 0.406 0.406 0.221
4 Te 0.594 0.594 0.779

(2)
This entry pairs a crystal structure of Th7Ge4Te4 with its simulated powder X-ray diffraction pattern. Radiation: Cu Kα, 1.54184 Å. Structure: a PBE-relaxed structure.
Intensities are scaled so that the largest is 100.

Top 6 peaks for 2θ = 10–90°, sorted by position:
d 3.711, I 39
d 2.956, I 27
d 2.856, I 100
d 2.530, I 37
d 1.932, I 38
d 1.856, I 26

Unit cell a=11.551 b=11.551 c=11.551 alpha=95.92 beta=95.92 gamma=142.53
Positions (direct):
1 Th 0.000 0.286 0.286
2 Th 0.000 0.714 0.714
3 Th 0.118 0.500 0.618
4 Th 0.247 0.247 0.000
5 Th 0.286 0.000 0.286
6 Th 0.291 0.291 0.581
7 Th 0.291 0.709 0.000
8 Th 0.500 0.118 0.618
9 Th 0.500 0.882 0.382
10 Th 0.709 0.291 0.000
11 Th 0.709 0.709 0.419
12 Th 0.714 0.000 0.714
13 Th 0.753 0.753 0.000
14 Th 0.882 0.500 0.382
15 Ge 0.101 0.601 0.202
16 Ge 0.101 0.899 0.500
17 Ge 0.399 0.601 0.500
18 Ge 0.399 0.899 0.798
19 Ge 0.601 0.101 0.202
20 Ge 0.601 0.399 0.500
21 Ge 0.899 0.101 0.500
22 Ge 0.899 0.399 0.798
23 Te 0.126 0.126 0.253
24 Te 0.126 0.874 0.000
25 Te 0.327 0.500 0.827
26 Te 0.500 0.327 0.827
27 Te 0.500 0.673 0.173
28 Te 0.673 0.500 0.173
29 Te 0.874 0.126 0.000
30 Te 0.874 0.874 0.747

(3)
This entry pairs a crystal structure of Th4Ge2Te with its simulated powder X-ray diffraction pattern. Radiation: Cu Kα, 1.54184 Å. Structure: a PBE-relaxed structure.
Intensities are scaled so that the largest is 100.

Top 6 peaks for 2θ = 10–90°, sorted by position:
d 3.346, I 15
d 3.119, I 100
d 2.325, I 32
d 2.103, I 38
d 1.744, I 19
d 1.342, I 16

Unit cell a=14.302 b=14.302 c=14.302 alpha=16.91 beta=16.91 gamma=16.91
Positions (direct):
1 Th 0.132 0.132 0.132
2 Th 0.282 0.282 0.282
3 Th 0.718 0.718 0.718
4 Th 0.868 0.868 0.868
5 Ge 0.424 0.424 0.424
6 Ge 0.576 0.576 0.576
7 Te 0.000 0.000 0.000

(4)
This entry pairs a crystal structure of Th4GeTe5 with its simulated powder X-ray diffraction pattern. Radiation: Cu Kα, 1.54184 Å. Structure: a PBE-relaxed structure.
Intensities are scaled so that the largest is 100.

Top 6 peaks for 2θ = 10–90°, sorted by position:
d 8.577, I 25
d 3.127, I 51
d 3.109, I 100
d 2.209, I 39
d 2.199, I 75
d 1.390, I 25

Unit cell a=9.870 b=9.870 c=8.798 alpha=102.56 beta=102.56 gamma=25.72
Positions (direct):
1 Th 0.000 0.000 0.236
2 Th 0.000 0.000 0.764
3 Th 0.340 0.340 0.915
4 Th 0.660 0.660 0.085
5 Ge 0.500 0.500 0.000
6 Te 0.167 0.167 0.340
7 Te 0.169 0.169 0.824
8 Te 0.500 0.500 0.500
9 Te 0.831 0.831 0.176
10 Te 0.833 0.833 0.660

(5)
This entry pairs a crystal structure of Tl2GeTe4 with its simulated powder X-ray diffraction pattern. Radiation: Cu Kα, 1.54184 Å. Structure: a PBE-relaxed structure.
Intensities are scaled so that the largest is 100.

Top 6 peaks for 2θ = 10–90°, sorted by position:
d 3.629, I 47
d 3.314, I 100
d 2.835, I 74
d 2.740, I 47
d 2.111, I 56
d 1.991, I 32

Unit cell a=7.313 b=6.641 c=7.118 alpha=64.11 beta=54.78 gamma=61.11
Positions (direct):
1 Tl 0.000 0.000 0.500
2 Tl 0.500 0.500 0.000
3 Ge 0.280 0.280 0.720
4 Te 0.036 0.563 0.437
5 Te 0.398 0.871 0.602
6 Te 0.563 0.036 0.964
7 Te 0.871 0.398 0.129

(6)
This entry pairs a crystal structure of TlGe3Te3 with its simulated powder X-ray diffraction pattern. Radiation: Cu Kα, 1.54184 Å. Structure: a PBE-relaxed structure.
Intensities are scaled so that the largest is 100.

Top 6 peaks for 2θ = 10–90°, sorted by position:
d 8.313, I 36
d 6.951, I 44
d 3.475, I 97
d 2.929, I 100
d 2.539, I 65
d 2.089, I 54

Unit cell a=9.612 b=9.612 c=9.612 alpha=51.54 beta=51.54 gamma=51.54
Positions (direct):
1 Tl 0.201 0.201 0.201
2 Tl 0.799 0.799 0.799
3 Ge 0.084 0.084 0.694
4 Ge 0.084 0.694 0.084
5 Ge 0.306 0.916 0.916
6 Ge 0.694 0.084 0.084
7 Ge 0.916 0.306 0.916
8 Ge 0.916 0.916 0.306
9 Te 0.220 0.724 0.724
10 Te 0.276 0.276 0.780
11 Te 0.276 0.780 0.276
12 Te 0.724 0.220 0.724
13 Te 0.724 0.724 0.220
14 Te 0.780 0.276 0.276